[1]
Structure and calculated powder diffractogram of Ta3Al (DFT lattice parameters and positions (GGA-PBE); Cu Kα (weighted mean of Kα1 and Kα2)).

Atomic structure:
```
Ta3Al
1.0
3.9555 0.0000 0.0000
0.0000 3.9555 0.0000
0.0000 0.0000 18.0766
Ta Al
12 4
direct
0.0000 0.0000 0.1242 Ta
0.0000 0.0000 0.8758 Ta
0.0000 0.5000 0.0000 Ta
0.0000 0.5000 0.2500 Ta
0.0000 0.5000 0.5000 Ta
0.0000 0.5000 0.7500 Ta
0.5000 0.0000 0.0000 Ta
0.5000 0.0000 0.2500 Ta
0.5000 0.0000 0.5000 Ta
0.5000 0.0000 0.7500 Ta
0.5000 0.5000 0.3758 Ta
0.5000 0.5000 0.6242 Ta
0.0000 0.0000 0.3752 Al
0.0000 0.0000 0.6248 Al
0.5000 0.5000 0.1248 Al
0.5000 0.5000 0.8752 Al
```

Main lines, most intense first (2θ from 15° to 90°):
- d 2.378, I = 100.0
- d 1.978, I = 29.1
- d 1.206, I = 23.7
- d 1.488, I = 23.5
- d 2.260, I = 21.6
- d 1.326, I = 17.3
- d 3.864, I = 12.9
- d 1.189, I = 11.4
- d 1.398, I = 9.5
- d 4.519, I = 9.2

[2]
Structure and calculated powder diffractogram of Ta3Al (DFT lattice parameters and positions (GGA-PBE); Cu Kα (weighted mean of Kα1 and Kα2)).

Atomic structure:
```
Ta3Al
1.0
3.4374 0.0000 0.0000
0.0000 4.5042 0.0000
0.0000 0.0000 9.1264
Ta Al
6 2
direct
0.0000 0.0000 0.0000 Ta
0.0000 0.5000 0.2575 Ta
0.0000 0.5000 0.7425 Ta
0.5000 0.0000 0.2575 Ta
0.5000 0.0000 0.7425 Ta
0.5000 0.5000 0.0000 Ta
0.0000 0.0000 0.5000 Al
0.5000 0.5000 0.5000 Al
```

Main lines, most intense first (2θ from 15° to 90°):
- d 2.344, I = 100.0
- d 2.282, I = 22.7
- d 2.252, I = 22.4
- d 1.317, I = 16.3
- d 1.329, I = 16.0
- d 1.603, I = 15.4
- d 2.618, I = 12.2
- d 1.172, I = 11.2
- d 1.719, I = 9.8
- d 4.563, I = 9.6

[3]
Structure and calculated powder diffractogram of TaAl2 (DFT lattice parameters and positions (GGA-PBE); Cu Kα (weighted mean of Kα1 and Kα2)).

Atomic structure:
```
TaAl2
1.0
3.9051 0.0000 0.0000
0.0000 13.3008 0.0000
0.0000 0.0000 3.7954
Ta Al
4 8
direct
0.0000 0.0870 0.2500 Ta
0.0000 0.9130 0.7500 Ta
0.5000 0.4130 0.7500 Ta
0.5000 0.5870 0.2500 Ta
0.0000 0.2498 0.7500 Al
0.0000 0.4245 0.2500 Al
0.0000 0.5755 0.7500 Al
0.0000 0.7502 0.2500 Al
0.5000 0.0755 0.7500 Al
0.5000 0.2502 0.2500 Al
0.5000 0.7498 0.7500 Al
0.5000 0.9245 0.2500 Al
```

Main lines, most intense first (2θ from 15° to 90°):
- d 2.320, I = 100.0
- d 3.747, I = 53.8
- d 3.296, I = 44.4
- d 2.217, I = 21.5
- d 2.666, I = 16.7
- d 2.199, I = 16.7
- d 2.501, I = 16.6
- d 1.299, I = 15.1
- d 1.953, I = 15.1
- d 1.898, I = 13.8

[4]
Structure and calculated powder diffractogram of Ta2Ti2Al7 (DFT lattice parameters and positions (GGA-PBE); Cu Kα (weighted mean of Kα1 and Kα2)).

Atomic structure:
```
Ta2Ti2Al7
1.0
4.7183 -4.4433 0.0000
4.7183 4.4433 0.0000
-1.4738 0.0000 4.4776
Ta Ti Al
2 2 7
direct
0.1991 0.8009 0.0000 Ta
0.8009 0.1991 0.0000 Ta
0.2428 0.2428 0.1732 Ti
0.7572 0.7572 0.8268 Ti
0.0000 0.0000 0.5000 Al
0.0077 0.4039 0.6994 Al
0.4039 0.0077 0.6994 Al
0.4397 0.4397 0.7255 Al
0.5603 0.5603 0.2745 Al
0.5961 0.9923 0.3006 Al
0.9923 0.5961 0.3006 Al
```

Main lines, most intense first (2θ from 15° to 90°):
- d 4.479, I = 100.0
- d 3.155, I = 62.8
- d 2.313, I = 55.1
- d 2.347, I = 52.3
- d 2.089, I = 46.5
- d 2.813, I = 43.7
- d 2.283, I = 43.2
- d 2.897, I = 37.3
- d 3.821, I = 37.2
- d 2.241, I = 32.2

[5]
Structure and calculated powder diffractogram of Ta4Ti9Al11 (DFT lattice parameters and positions (GGA-PBE); Cu Kα (weighted mean of Kα1 and Kα2)).

Atomic structure:
```
Ta4Ti9Al11
1.0
8.4187 -8.4433 0.0000
8.4187 8.4433 0.0000
0.0000 0.0000 2.7929
Ta Ti Al
4 9 11
direct
0.0526 0.2216 0.0000 Ta
0.2216 0.0526 0.0000 Ta
0.7784 0.9474 0.0000 Ta
0.9474 0.7784 0.0000 Ta
0.0000 0.0000 0.0000 Ti
0.1238 0.6289 0.0000 Ti
0.2956 0.4658 0.0000 Ti
0.3711 0.8762 0.0000 Ti
0.4658 0.2956 0.0000 Ti
0.5342 0.7044 0.0000 Ti
0.6289 0.1238 0.0000 Ti
0.7044 0.5342 0.0000 Ti
0.8762 0.3711 0.0000 Ti
0.0876 0.4241 0.5000 Al
0.1508 0.8492 0.5000 Al
0.2596 0.2596 0.5000 Al
0.3281 0.6719 0.5000 Al
0.4241 0.0876 0.5000 Al
0.5000 0.5000 0.5000 Al
0.5759 0.9124 0.5000 Al
0.6719 0.3281 0.5000 Al
0.7404 0.7404 0.5000 Al
0.8492 0.1508 0.5000 Al
0.9124 0.5759 0.5000 Al
```

Main lines, most intense first (2θ from 15° to 90°):
- d 2.340, I = 100.0
- d 2.327, I = 88.5
- d 4.211, I = 69.6
- d 1.982, I = 58.4
- d 5.326, I = 56.5
- d 1.443, I = 32.0
- d 2.105, I = 31.0
- d 1.793, I = 30.4
- d 2.793, I = 30.2
- d 2.813, I = 28.4

[6]
Structure and calculated powder diffractogram of TaTi2Al6 (DFT lattice parameters and positions (GGA-PBE); Cu Kα (weighted mean of Kα1 and Kα2)).

Atomic structure:
```
TaTi2Al6
1.0
-2.1452 2.8053 6.3200
2.1452 -2.8053 6.3200
2.1452 2.8053 -6.3200
Ta Ti Al
1 2 6
direct
0.0000 0.0000 0.0000 Ta
0.3668 0.8668 0.5000 Ti
0.6332 0.1332 0.5000 Ti
0.1265 0.3935 0.7330 Al
0.2127 0.2127 0.0000 Al
0.3395 0.6065 0.7330 Al
0.6605 0.3935 0.2670 Al
0.7873 0.7873 0.0000 Al
0.8735 0.6065 0.2670 Al
```

Main lines, most intense first (2θ from 15° to 90°):
- d 2.308, I = 100.0
- d 2.317, I = 66.8
- d 5.128, I = 46.1
- d 3.369, I = 43.8
- d 4.063, I = 42.4
- d 3.001, I = 34.5
- d 2.145, I = 25.5
- d 2.178, I = 23.4
- d 1.268, I = 20.2
- d 3.408, I = 14.9

[7]
Structure and calculated powder diffractogram of TaTi3Al4 (DFT lattice parameters and positions (GGA-PBE); Cu Kα (weighted mean of Kα1 and Kα2)).

Atomic structure:
```
TaTi3Al4
1.0
7.4110 0.0000 0.0000
0.0000 5.9248 0.0000
0.0000 0.0000 6.0037
Ta Ti Al
2 6 8
direct
0.0000 0.0000 0.0000 Ta
0.5000 0.0000 0.5000 Ta
0.0000 0.5000 0.0000 Ti
0.2500 0.2472 0.2500 Ti
0.2500 0.7528 0.7500 Ti
0.5000 0.5000 0.5000 Ti
0.7500 0.2472 0.2500 Ti
0.7500 0.7528 0.7500 Ti
0.0000 0.0000 0.5000 Al
0.0000 0.5000 0.5000 Al
0.2500 0.2520 0.7500 Al
0.2500 0.7480 0.2500 Al
0.5000 0.0000 0.0000 Al
0.5000 0.5000 0.0000 Al
0.7500 0.2520 0.7500 Al
0.7500 0.7480 0.2500 Al
```

Main lines, most intense first (2θ from 15° to 90°):
- d 2.333, I = 100.0
- d 2.314, I = 97.6
- d 4.665, I = 94.6
- d 2.109, I = 73.5
- d 3.665, I = 60.8
- d 2.501, I = 39.4
- d 1.392, I = 39.0
- d 1.259, I = 26.3
- d 1.250, I = 25.6
- d 1.853, I = 24.4

[8]
Structure and calculated powder diffractogram of TaTi2Al (DFT lattice parameters and positions (GGA-PBE); Cu Kα (weighted mean of Kα1 and Kα2)).

Atomic structure:
```
TaTi2Al
1.0
4.6791 0.0000 0.0000
0.0000 5.5859 0.0000
0.0000 0.0000 5.1768
Ta Ti Al
2 4 2
direct
0.2500 0.2500 0.1357 Ta
0.7500 0.7500 0.8643 Ta
0.2500 0.0004 0.6505 Ti
0.2500 0.4996 0.6505 Ti
0.7500 0.9996 0.3495 Ti
0.7500 0.5004 0.3495 Ti
0.2500 0.7500 0.1664 Al
0.7500 0.2500 0.8336 Al
```

Main lines, most intense first (2θ from 15° to 90°):
- d 2.176, I = 100.0
- d 2.265, I = 86.4
- d 3.587, I = 80.3
- d 2.340, I = 50.9
- d 3.797, I = 49.1
- d 2.948, I = 46.0
- d 2.458, I = 45.4
- d 1.695, I = 28.6
- d 2.349, I = 27.2
- d 5.177, I = 22.5

[9]
Structure and calculated powder diffractogram of Ta2Ti5Al2 (DFT lattice parameters and positions (GGA-PBE); Cu Kα (weighted mean of Kα1 and Kα2)).

Atomic structure:
```
Ta2Ti5Al2
1.0
4.7937 -1.8632 0.0000
4.7937 1.8632 0.0000
-2.9226 0.0000 8.5785
Ta Ti Al
2 5 2
direct
0.1655 0.1655 0.3848 Ta
0.8345 0.8345 0.6152 Ta
0.1657 0.1657 0.7254 Ti
0.1684 0.1684 0.0568 Ti
0.5000 0.5000 0.5000 Ti
0.8316 0.8316 0.9432 Ti
0.8343 0.8343 0.2746 Ti
0.4974 0.4974 0.1630 Al
0.5026 0.5026 0.8370 Al
```

Main lines, most intense first (2θ from 15° to 90°):
- d 2.348, I = 100.0
- d 2.130, I = 22.5
- d 2.146, I = 21.8
- d 4.684, I = 16.6
- d 2.863, I = 15.2
- d 1.274, I = 13.4
- d 3.071, I = 13.2
- d 1.267, I = 13.1
- d 1.863, I = 12.2
- d 1.511, I = 12.0

[10]
Structure and calculated powder diffractogram of Ta3TiAl4 (DFT lattice parameters and positions (GGA-PBE); Cu Kα (weighted mean of Kα1 and Kα2)).

Atomic structure:
```
Ta3TiAl4
1.0
9.0690 0.0000 0.0000
0.0000 5.7784 0.0000
0.0000 0.0000 5.0824
Ta Ti Al
6 2 8
direct
0.0000 0.1342 0.0000 Ta
0.2235 0.6209 0.7004 Ta
0.2765 0.3791 0.2004 Ta
0.5000 0.8658 0.5000 Ta
0.7235 0.3791 0.2004 Ta
0.7765 0.6209 0.7004 Ta
0.0000 0.6158 0.0924 Ti
0.5000 0.3842 0.5924 Ti
0.0000 0.3442 0.5028 Al
0.0000 0.8972 0.5188 Al
0.2424 0.8790 0.1999 Al
0.2576 0.1210 0.6999 Al
0.5000 0.1028 0.0188 Al
0.5000 0.6558 0.0028 Al
0.7423 0.1210 0.6999 Al
0.7577 0.8790 0.1999 Al
```

Main lines, most intense first (2θ from 15° to 90°):
- d 2.197, I = 100.0
- d 2.217, I = 58.6
- d 3.567, I = 51.1
- d 3.816, I = 41.5
- d 2.512, I = 35.6
- d 2.267, I = 33.2
- d 2.920, I = 30.0
- d 4.434, I = 22.3
- d 2.326, I = 20.6
- d 2.598, I = 20.1

[11]
Structure and calculated powder diffractogram of Ta2AlTl (DFT lattice parameters and positions (GGA-PBE); Cu Kα (weighted mean of Kα1 and Kα2)).

Atomic structure:
```
Ta2AlTl
1.0
3.9756 0.0000 0.0000
0.0000 4.4091 0.0000
0.0000 0.0000 8.5147
Ta Al Tl
4 2 2
direct
0.0000 0.0000 0.2250 Ta
0.0000 0.0000 0.7750 Ta
0.5000 0.5000 0.2250 Ta
0.5000 0.5000 0.7750 Ta
0.0000 0.5000 0.0000 Al
0.5000 0.0000 0.0000 Al
0.0000 0.5000 0.5000 Tl
0.5000 0.0000 0.5000 Tl
```

Main lines, most intense first (2θ from 15° to 90°):
- d 2.426, I = 100.0
- d 1.476, I = 23.8
- d 2.790, I = 23.7
- d 2.205, I = 20.2
- d 1.988, I = 14.9
- d 1.311, I = 14.6
- d 2.129, I = 14.2
- d 1.216, I = 13.7
- d 2.838, I = 13.4
- d 1.531, I = 10.1

[12]
Structure and calculated powder diffractogram of Ta6AlV (DFT lattice parameters and positions (GGA-PBE); Cu Kα (weighted mean of Kα1 and Kα2)).

Atomic structure:
```
Ta6AlV
1.0
5.1889 0.0000 0.0000
0.0000 5.1922 0.0000
-0.0064 0.0000 5.1912
Ta Al V
6 1 1
direct
0.0002 0.0000 0.2473 Ta
0.9998 0.0000 0.7527 Ta
0.2527 0.5000 0.0004 Ta
0.5000 0.2471 0.5000 Ta
0.5000 0.7529 0.5000 Ta
0.7473 0.5000 0.9996 Ta
0.0000 0.5000 0.5000 Al
0.5000 0.0000 0.0000 V
```

Main lines, most intense first (2θ from 15° to 90°):
- d 2.321, I = 100.0
- d 2.119, I = 28.1
- d 3.670, I = 25.3
- d 1.440, I = 22.5
- d 1.133, I = 17.8
- d 1.498, I = 16.8
- d 1.387, I = 14.4
- d 2.595, I = 12.7
- d 1.298, I = 10.2
- d 1.641, I = 5.5

[13]
Structure and calculated powder diffractogram of TaAl3V (DFT lattice parameters and positions (GGA-PBE); Cu Kα (weighted mean of Kα1 and Kα2)).

Atomic structure:
```
TaAl3V
1.0
4.0597 0.0000 0.0000
0.0000 6.0693 0.0000
0.0000 0.0000 6.6436
Ta Al V
2 6 2
direct
0.2500 0.2500 0.2214 Ta
0.7500 0.7500 0.7786 Ta
0.2500 0.0442 0.7649 Al
0.2500 0.4558 0.7649 Al
0.2500 0.7500 0.4519 Al
0.7500 0.2500 0.5481 Al
0.7500 0.5442 0.2351 Al
0.7500 0.9558 0.2351 Al
0.2500 0.7500 0.0518 V
0.7500 0.2500 0.9482 V
```

Main lines, most intense first (2θ from 15° to 90°):
- d 2.367, I = 100.0
- d 2.283, I = 91.2
- d 4.481, I = 78.6
- d 3.464, I = 48.8
- d 3.035, I = 36.7
- d 3.374, I = 28.4
- d 3.322, I = 26.1
- d 2.030, I = 25.4
- d 1.850, I = 24.7
- d 2.080, I = 23.3

[14]
Structure and calculated powder diffractogram of Ta2AlV5 (DFT lattice parameters and positions (GGA-PBE); Cu Kα (weighted mean of Kα1 and Kα2)).

Atomic structure:
```
Ta2AlV5
1.0
4.4229 0.0000 0.0000
0.0000 4.4229 0.0000
0.0000 0.0000 12.2840
Ta Al V
4 2 10
direct
0.0000 0.0000 0.2490 Ta
0.0000 0.0000 0.7510 Ta
0.5000 0.5000 0.2510 Ta
0.5000 0.5000 0.7490 Ta
0.0000 0.0000 0.5000 Al
0.5000 0.5000 0.0000 Al
0.0000 0.0000 0.0000 V
0.0000 0.5000 0.1223 V
0.0000 0.5000 0.3777 V
0.0000 0.5000 0.6223 V
0.0000 0.5000 0.8777 V
0.5000 0.0000 0.1223 V
0.5000 0.0000 0.3777 V
0.5000 0.0000 0.6223 V
0.5000 0.0000 0.8777 V
0.5000 0.5000 0.5000 V
```

Main lines, most intense first (2θ from 15° to 90°):
- d 2.191, I = 100.0
- d 2.211, I = 51.5
- d 2.787, I = 40.3
- d 1.273, I = 32.8
- d 3.127, I = 17.8
- d 1.564, I = 16.7
- d 2.081, I = 16.4
- d 1.261, I = 15.8
- d 1.096, I = 10.4
- d 1.364, I = 9.5